Simulated PXRD pattern of NaNiPO11 for a wavelength of 1.5418 Å, from a cell relaxed with PBE+U.
Intensities are scaled so that the largest is 100.

Structure:
```
data_NaNiPO11
_chemical_formula_sum 'Na2 Ni2 P2 O22'
_space_group_name_H-M_alt 'P 1'
_space_group_IT_number 1
_space_group_name_Hall 'P 1'
_cell_length_a 6.513
_cell_length_b 6.513
_cell_length_c 9.416
_cell_angle_alpha 90.00
_cell_angle_beta 90.00
_cell_angle_gamma 90.00
loop_
_atom_site_label
_atom_site_type_symbol
_atom_site_fract_x
_atom_site_fract_y
_atom_site_fract_z
Na1 Na 0.000 0.000 0.000
Na2 Na 0.000 0.000 0.500
Ni1 Ni 0.000 0.500 0.000
Ni2 Ni 0.500 0.000 0.500
P1 P 0.500 0.500 0.250
P2 P 0.500 0.500 0.750
O1 O 0.000 0.000 0.250
O2 O 0.000 0.000 0.750
O3 O 0.000 0.500 0.195
O4 O 0.000 0.500 0.805
O5 O 0.192 0.296 0.000
O6 O 0.192 0.704 0.000
O7 O 0.296 0.192 0.500
O8 O 0.296 0.808 0.500
O9 O 0.302 0.500 0.344
O10 O 0.302 0.500 0.656
O11 O 0.500 0.000 0.305
O12 O 0.500 0.000 0.695
O13 O 0.500 0.302 0.156
O14 O 0.500 0.302 0.844
O15 O 0.500 0.698 0.156
O16 O 0.500 0.698 0.844
O17 O 0.698 0.500 0.344
O18 O 0.698 0.500 0.656
O19 O 0.704 0.192 0.500
O20 O 0.704 0.808 0.500
O21 O 0.808 0.296 0.000
O22 O 0.808 0.704 0.000
```

Largest 8 diffraction maxima, by intensity, 10 to 80 degrees two-theta:
2θ 16.55, I 100; 2θ 32.17, I 32; 2θ 27.39, I 30; 2θ 27.09, I 24; 2θ 23.31, I 21; 2θ 55.85, I 20; 2θ 39.12, I 18; 2θ 31.64, I 17